The following is a theoretical XRD peak list of Fe5O3F7. It was derived from a cell relaxed with GGA+U, using a wavelength of 1.5418 Å.
Kinematic intensities with the Lorentz-polarization factor, no thermal factor.

Structural model:
```
data_Fe5O3F7
_chemical_formula_sum 'Fe10 O6 F14'
_space_group_name_H-M_alt 'P 1 m 1'
_space_group_IT_number 6
_cell_length_a 4.7702
_cell_length_b 15.6259
_cell_length_c 4.7819
_cell_angle_alpha 90.00
_cell_angle_beta 90.49
_cell_angle_gamma 90.00
loop_
_space_group_symop_operation_xyz
'x,y,z'
'x,-y,z'
loop_
_atom_site_label
_atom_site_fract_x
_atom_site_fract_y
_atom_site_fract_z
Fe1 0.0000 0.0000 0.0000
Fe2 0.0237 0.2075 0.9907
Fe3 0.4567 0.2945 0.4970
Fe4 0.4678 0.1002 0.4564
Fe5 0.5154 0.5000 0.4361
Fe6 0.9850 0.4013 0.9656
O1 0.1626 0.3030 0.7971
O2 0.2862 0.1963 0.2948
O3 0.3001 0.0000 0.2950
O4 0.8120 0.5000 0.1322
F1 0.1859 0.5000 0.7532
F2 0.1962 0.1034 0.7918
F3 0.2823 0.4001 0.2630
F4 0.6772 0.3963 0.6703
F5 0.6892 0.0000 0.6800
F6 0.6975 0.1884 0.6972
F7 0.7816 0.3007 0.1811
F8 0.7939 0.1049 0.1849
```

Largest 10 diffraction maxima, low angle first, 10° ≤ 2θ ≤ 80°:
Position (°2θ), I (rel.), (hkl)
26.28, 95, 1 0 -1
26.51, 90, 1 0 1
34.29, 100, 0 5 1
39.20, 17, 1 5 -1
39.36, 19, 1 5 1
51.72, 57, 1 5 -2
51.98, 54, 1 5 2
59.12, 18, 0 10 0
65.78, 30, 0 5 3
65.91, 29, 3 5 0